Structure and computed powder X-ray diffraction pattern of KNi5As3 (a cell relaxed with PBE; CuKα).

Crystal structure
Lattice parameters (Å, degrees): 3.7284 12.3747 12.0691 90.00 90.00 90.00
Space group Cmcm (No. 63)
Symmetry-distinct sites (fractional):
K  0.0000  0.1642  0.2500 (multiplicity 4)
Ni  0.0000  0.0000  0.0000 (multiplicity 4)
Ni  0.0000  0.1931  0.5635 (multiplicity 8)
Ni  0.0000  0.4476  0.1432 (multiplicity 8)
As  0.0000  0.1126  0.7500 (multiplicity 4)
As  0.0000  0.3797  0.5416 (multiplicity 8)

Largest 10 diffraction maxima, low angle first, 2θ = 10–90°:
two_theta	intensity
14.68	94.3
16.10	69.2
33.56	59.7
35.71	59.1
39.09	63.1
43.91	43.5
45.35	77.1
46.54	100.0
48.85	73.9
49.68	60.3